This entry pairs a crystal structure of CuTe4Os with its simulated PXRD pattern. Radiation: Cu Kα, 1.54184 Å. Structure: the GGA-PBE geometry in Alexandria.
No peak broadening, texture or thermal motion is included.

The 10 most intense peaks (2θ from 10° to 90°), low angle first:
2θ/deg, intensity
17.7, 11
29.0, 26
34.2, 100
35.8, 40
51.5, 11
54.8, 34
60.2, 29
71.1, 12
72.0, 15
85.8, 22

Crystal structure
abc: 6.1515 6.1515 6.1515
angles: 60.00 60.00 60.00
Atoms (fractional coordinates):
1 Cu 0.0000 0.0000 0.0000
2 Te 0.3754 0.3754 0.3754
3 Te 0.3754 0.3754 0.8737
4 Te 0.3754 0.8737 0.3754
5 Te 0.8737 0.3754 0.3754
6 Os 0.7500 0.7500 0.7500

---

This entry pairs a crystal structure of BaPaTi2O8 with its simulated PXRD pattern. Radiation: Cu Kα, 1.54184 Å. Structure: the GGA-PBE geometry in Alexandria.
No peak broadening, texture or thermal motion is included.

The 10 most intense peaks (2θ from 10° to 90°), low angle first:
2θ/deg, intensity
17.3, 100
20.9, 37
29.3, 82
30.3, 56
38.6, 29
42.6, 39
47.0, 15
53.2, 33
57.8, 20
70.9, 14

Crystal structure
abc: 5.9079 5.9079 7.5859
angles: 90.00 90.00 120.00
Atoms (fractional coordinates):
1 Ba 0.0000 0.0000 0.0000
2 Pa 0.0000 0.0000 0.5000
3 Ti 0.3333 0.6667 0.2418
4 Ti 0.6667 0.3333 0.7582
5 O 0.1613 0.3227 0.3140
6 O 0.1613 0.8387 0.3140
7 O 0.3227 0.1613 0.6859
8 O 0.3333 0.6667 0.0074
9 O 0.6667 0.3333 0.9926
10 O 0.6773 0.8387 0.3140
11 O 0.8387 0.1613 0.6859
12 O 0.8387 0.6773 0.6859

---

This entry pairs a crystal structure of Hf3Al3N with its simulated PXRD pattern. Radiation: Cu Kα, 1.54184 Å. Structure: the GGA-PBE geometry in Alexandria.
No peak broadening, texture or thermal motion is included.

The 10 most intense peaks (2θ from 10° to 90°), low angle first:
2θ/deg, intensity
12.6, 66
29.4, 33
32.1, 44
36.2, 73
38.4, 100
42.0, 14
47.2, 15
53.8, 23
65.0, 60
78.1, 20

Crystal structure
abc: 8.6065 8.6065 8.6065
angles: 60.00 60.00 60.00
Atoms (fractional coordinates):
1 Hf 0.0590 0.0590 0.6910
2 Hf 0.0590 0.6910 0.0590
3 Hf 0.0590 0.6910 0.6910
4 Hf 0.3090 0.3090 0.9410
5 Hf 0.3090 0.9410 0.3090
6 Hf 0.3090 0.9410 0.9410
7 Hf 0.6910 0.0590 0.0590
8 Hf 0.6910 0.0590 0.6910
9 Hf 0.6910 0.6910 0.0590
10 Hf 0.9410 0.3090 0.3090
11 Hf 0.9410 0.3090 0.9410
12 Hf 0.9410 0.9410 0.3090
13 Al 0.0000 0.5000 0.5000
14 Al 0.2899 0.2899 0.2899
15 Al 0.2899 0.2899 0.6302
16 Al 0.2899 0.6302 0.2899
17 Al 0.3698 0.7101 0.7101
18 Al 0.5000 0.0000 0.5000
19 Al 0.5000 0.5000 0.0000
20 Al 0.5000 0.5000 0.5000
21 Al 0.6302 0.2899 0.2899
22 Al 0.7101 0.3698 0.7101
23 Al 0.7101 0.7101 0.3698
24 Al 0.7101 0.7101 0.7101
25 N 0.0000 0.0000 0.0000
26 N 0.0000 0.0000 0.5000
27 N 0.0000 0.5000 0.0000
28 N 0.5000 0.0000 0.0000

---

This entry pairs a crystal structure of RbAcGeSe3 with its simulated PXRD pattern. Radiation: Cu Kα, 1.54184 Å. Structure: the GGA-PBE geometry in Alexandria.
No peak broadening, texture or thermal motion is included.

The 10 most intense peaks (2θ from 10° to 90°), low angle first:
2θ/deg, intensity
11.0, 100
25.3, 40
28.8, 31
29.2, 63
30.5, 45
36.4, 22
41.9, 24
42.0, 23
43.6, 22
52.8, 19

Crystal structure
abc: 9.0346 4.3018 11.7372
angles: 90.00 105.72 90.00
Atoms (fractional coordinates):
1 Rb 0.2384 0.2500 0.2015
2 Rb 0.7616 0.7500 0.7985
3 Ac 0.1614 0.7500 0.6541
4 Ac 0.8386 0.2500 0.3459
5 Ge 0.3795 0.2500 0.9371
6 Ge 0.6205 0.7500 0.0629
7 Se 0.0897 0.7500 0.3814
8 Se 0.1902 0.7500 0.9247
9 Se 0.4224 0.2500 0.7372
10 Se 0.5776 0.7500 0.2628
11 Se 0.8098 0.2500 0.0753
12 Se 0.9103 0.2500 0.6186